La5Nd4In: computed powder XRD pattern (Cu Kα), based on a cell relaxed with PBE.
Peak positions follow from Bragg's law for the DFT cell and can differ from measured ones.

Structure:
Lattice parameters (Å, degrees): 8.133 8.133 8.133 98.68 98.68 134.29
Sites, in units of the cell vectors:
La 0.000 0.000 0.000
La 0.556 0.558 0.621
La 0.558 0.937 0.002
La 0.935 0.556 0.998
La 0.937 0.935 0.379
Nd 0.249 0.564 0.312
Nd 0.252 0.937 0.688
Nd 0.564 0.252 0.315
Nd 0.937 0.249 0.685
In 0.485 0.485 0.000

Peak list (8 most intense, 2θ from 10° to 80°, low angle first)
2θ/deg  I/Imax
28.25  18
28.96  100
30.72  12
33.01  20
35.95  38
46.34  13
50.45  20
60.39  15


La2Nd6In: computed powder XRD pattern (Cu Kα), based on a cell relaxed with PBE.
Peak positions follow from Bragg's law for the DFT cell and can differ from measured ones.

Structure:
Lattice parameters (Å, degrees): 10.140 10.687 5.718 90.00 90.00 90.00
Sites, in units of the cell vectors:
La 0.189 0.249 0.000
La 0.311 0.749 0.500
La 0.689 0.251 0.500
La 0.811 0.751 0.000
Nd 0.016 0.187 0.500
Nd 0.140 0.602 0.000
Nd 0.183 0.926 0.000
Nd 0.317 0.426 0.500
Nd 0.360 0.102 0.500
Nd 0.484 0.687 0.000
Nd 0.516 0.313 0.000
Nd 0.640 0.898 0.500
Nd 0.683 0.574 0.500
Nd 0.817 0.074 0.000
Nd 0.860 0.398 0.000
Nd 0.984 0.813 0.500
In 0.000 0.500 0.500
In 0.500 0.000 0.000

Peak list (8 most intense, 2θ from 10° to 80°, low angle first)
2θ/deg  I/Imax
29.54  17
30.71  100
30.86  54
31.29  44
44.38  19
54.61  9
54.73  10
55.37  24


La6Nd4In: computed powder XRD pattern (Cu Kα), based on a cell relaxed with PBE.
Peak positions follow from Bragg's law for the DFT cell and can differ from measured ones.

Structure:
Lattice parameters (Å, degrees): 9.574 9.574 9.574 138.56 138.56 60.04
Sites, in units of the cell vectors:
La 0.000 0.500 0.500
La 0.046 0.725 0.000
La 0.275 0.275 0.321
La 0.500 0.000 0.500
La 0.725 0.046 0.000
La 0.954 0.954 0.679
Nd 0.139 0.139 0.642
Nd 0.498 0.498 0.358
Nd 0.502 0.861 0.000
Nd 0.861 0.502 0.000
In 0.500 0.500 0.000

Peak list (8 most intense, 2θ from 10° to 80°, low angle first)
2θ/deg  I/Imax
28.47  73
29.99  100
34.19  26
37.57  29
40.32  17
48.79  17
56.27  28
58.93  18


LaNd4In3: computed powder XRD pattern (Cu Kα), based on a cell relaxed with PBE.
Peak positions follow from Bragg's law for the DFT cell and can differ from measured ones.

Structure:
Lattice parameters (Å, degrees): 11.909 11.909 5.669 101.34 101.34 18.42
Sites, in units of the cell vectors:
La 0.000 0.000 0.000
Nd 0.120 0.120 0.688
Nd 0.236 0.236 0.245
Nd 0.764 0.764 0.755
Nd 0.880 0.880 0.312
In 0.379 0.379 0.796
In 0.500 0.500 0.500
In 0.621 0.621 0.204

Peak list (8 most intense, 2θ from 10° to 80°, low angle first)
2θ/deg  I/Imax
31.05  49
31.59  35
31.96  100
32.63  81
43.87  16
47.72  17
55.39  17
58.03  16


LaNd3In4: computed powder XRD pattern (Cu Kα), based on a cell relaxed with PBE.
Peak positions follow from Bragg's law for the DFT cell and can differ from measured ones.

Structure:
Lattice parameters (Å, degrees): 9.551 9.551 9.551 33.50 33.50 33.50
Sites, in units of the cell vectors:
La 0.000 0.000 0.000
Nd 0.250 0.250 0.250
Nd 0.500 0.500 0.500
Nd 0.750 0.750 0.750
In 0.126 0.126 0.126
In 0.376 0.376 0.376
In 0.624 0.624 0.624
In 0.874 0.874 0.874

Peak list (7 most intense, 2θ from 10° to 80°, low angle first)
2θ/deg  I/Imax
22.83  1
32.51  100
46.63  18
52.53  1
57.99  37
68.08  11
77.49  16


La3Nd2In: computed powder XRD pattern (Cu Kα), based on a cell relaxed with PBE.
Peak positions follow from Bragg's law for the DFT cell and can differ from measured ones.

Structure:
Lattice parameters (Å, degrees): 5.774 10.751 6.586 90.00 90.00 90.00
Sites, in units of the cell vectors:
La 0.000 0.050 0.000
La 0.000 0.264 0.385
La 0.000 0.736 0.885
La 0.000 0.950 0.500
La 0.500 0.426 0.229
La 0.500 0.574 0.729
Nd 0.000 0.403 0.908
Nd 0.000 0.597 0.408
Nd 0.500 0.211 0.756
Nd 0.500 0.789 0.256
In 0.500 0.101 0.277
In 0.500 0.899 0.777

Peak list (8 most intense, 2θ from 10° to 80°, low angle first)
2θ/deg  I/Imax
28.35  25
29.33  15
30.97  45
31.27  56
32.39  100
42.48  17
55.28  14
56.00  21


La2Nd12In: computed powder XRD pattern (Cu Kα), based on a cell relaxed with PBE.
Peak positions follow from Bragg's law for the DFT cell and can differ from measured ones.

Structure:
Lattice parameters (Å, degrees): 6.804 6.804 23.904 90.00 90.00 90.00
Sites, in units of the cell vectors:
La 0.250 0.750 0.248
La 0.250 0.750 0.752
La 0.750 0.250 0.248
La 0.750 0.250 0.752
Nd 0.004 0.504 0.091
Nd 0.004 0.996 0.909
Nd 0.084 0.584 0.565
Nd 0.084 0.916 0.435
Nd 0.250 0.250 0.200
Nd 0.250 0.250 0.330
Nd 0.250 0.250 0.670
Nd 0.250 0.250 0.800
Nd 0.416 0.584 0.435
Nd 0.416 0.916 0.565
Nd 0.496 0.504 0.909
Nd 0.496 0.996 0.091
Nd 0.504 0.004 0.909
Nd 0.504 0.496 0.091
Nd 0.584 0.084 0.435
Nd 0.584 0.416 0.565
Nd 0.750 0.750 0.200
Nd 0.750 0.750 0.330
Nd 0.750 0.750 0.670
Nd 0.750 0.750 0.800
Nd 0.916 0.084 0.565
Nd 0.916 0.416 0.435
Nd 0.996 0.004 0.091
Nd 0.996 0.496 0.909
In 0.250 0.750 0.000
In 0.750 0.250 0.000

Peak list (8 most intense, 2θ from 10° to 80°, low angle first)
2θ/deg  I/Imax
27.26  100
29.10  37
30.25  64
32.30  31
33.04  26
34.67  55
37.38  65
52.41  42


La3Nd2In4: computed powder XRD pattern (Cu Kα), based on a cell relaxed with PBE.
Peak positions follow from Bragg's law for the DFT cell and can differ from measured ones.

Structure:
Lattice parameters (Å, degrees): 6.586 6.586 10.333 119.06 119.06 47.02
Sites, in units of the cell vectors:
La 0.000 0.000 0.000
La 0.349 0.349 0.315
La 0.651 0.651 0.685
Nd 0.354 0.354 0.691
Nd 0.646 0.646 0.309
In 0.045 0.045 0.386
In 0.291 0.291 0.958
In 0.709 0.709 0.042
In 0.955 0.955 0.614

Peak list (8 most intense, 2θ from 10° to 80°, low angle first)
2θ/deg  I/Imax
30.60  37
31.22  100
32.65  87
34.13  43
45.13  12
46.49  23
59.29  16
60.16  15


La8Nd3In2: computed powder XRD pattern (Cu Kα), based on a cell relaxed with PBE.
Peak positions follow from Bragg's law for the DFT cell and can differ from measured ones.

Structure:
Lattice parameters (Å, degrees): 6.894 8.768 8.949 64.96 67.92 78.56
Sites, in units of the cell vectors:
La 0.101 0.018 0.291
La 0.163 0.209 0.820
La 0.181 0.392 0.354
La 0.246 0.586 0.848
La 0.754 0.414 0.152
La 0.819 0.608 0.646
La 0.837 0.791 0.180
La 0.899 0.982 0.709
Nd 0.423 0.810 0.006
Nd 0.500 0.000 0.500
Nd 0.577 0.190 0.994
In 0.366 0.660 0.439
In 0.634 0.340 0.561

Peak list (8 most intense, 2θ from 10° to 80°, low angle first)
2θ/deg  I/Imax
29.05  12
29.47  36
29.98  13
30.69  36
30.91  100
31.22  87
43.43  13
45.65  13


LaNdIn: computed powder XRD pattern (Cu Kα), based on a cell relaxed with PBE.
Peak positions follow from Bragg's law for the DFT cell and can differ from measured ones.

Structure:
Lattice parameters (Å, degrees): 4.651 4.928 8.797 90.00 90.00 90.00
Sites, in units of the cell vectors:
La 0.250 0.250 0.141
La 0.750 0.750 0.859
Nd 0.250 0.750 0.530
Nd 0.750 0.250 0.470
In 0.250 0.250 0.766
In 0.750 0.750 0.234

Peak list (8 most intense, 2θ from 10° to 80°, low angle first)
2θ/deg  I/Imax
27.92  24
28.27  100
30.49  27
33.42  85
35.63  30
36.47  35
38.72  30
54.24  22


La3NdIn3: computed powder XRD pattern (Cu Kα), based on a cell relaxed with PBE.
Peak positions follow from Bragg's law for the DFT cell and can differ from measured ones.

Structure:
Lattice parameters (Å, degrees): 9.748 9.748 9.748 90.00 90.00 90.00
Sites, in units of the cell vectors:
La 0.072 0.428 0.572
La 0.172 0.828 0.328
La 0.174 0.174 0.174
La 0.326 0.826 0.674
La 0.328 0.172 0.828
La 0.428 0.572 0.072
La 0.572 0.072 0.428
La 0.672 0.672 0.672
La 0.674 0.326 0.826
La 0.826 0.674 0.326
La 0.828 0.328 0.172
La 0.928 0.928 0.928
Nd 0.077 0.577 0.923
Nd 0.423 0.423 0.423
Nd 0.577 0.923 0.077
Nd 0.923 0.077 0.577
In 0.001 0.254 0.872
In 0.128 0.501 0.246
In 0.246 0.128 0.501
In 0.254 0.872 0.001
In 0.372 0.499 0.746
In 0.499 0.746 0.372
In 0.501 0.246 0.128
In 0.628 0.999 0.754
In 0.746 0.372 0.499
In 0.754 0.628 0.999
In 0.872 0.001 0.254
In 0.999 0.754 0.628

Peak list (8 most intense, 2θ from 10° to 80°, low angle first)
2θ/deg  I/Imax
28.96  100
34.42  75
45.59  20
47.56  20
58.35  27
60.02  12
61.66  16
71.06  13


La5Nd8In: computed powder XRD pattern (Cu Kα), based on a cell relaxed with PBE.
Peak positions follow from Bragg's law for the DFT cell and can differ from measured ones.

Structure:
Lattice parameters (Å, degrees): 9.021 9.021 8.761 118.72 118.72 57.63
Sites, in units of the cell vectors:
La 0.000 0.000 0.000
La 0.297 0.610 0.172
La 0.390 0.703 0.828
La 0.577 0.222 0.762
La 0.778 0.423 0.238
Nd 0.077 0.534 0.690
Nd 0.175 0.075 0.565
Nd 0.281 0.379 0.372
Nd 0.466 0.923 0.310
Nd 0.562 0.069 0.061
Nd 0.621 0.719 0.628
Nd 0.925 0.825 0.435
Nd 0.931 0.438 0.939
In 0.722 0.278 0.500

Peak list (8 most intense, 2θ from 10° to 80°, low angle first)
2θ/deg  I/Imax
28.93  16
30.64  100
31.33  27
31.60  16
32.07  14
32.54  11
55.33  9
55.67  10